The following is a computed powder X-ray diffraction pattern of Cu2Se2NO10. It was derived from a cell relaxed with PBE, using copper Kα.
Neutral-atom scattering factors, no anomalous dispersion.

Main lines, by angle (15 to 90 degrees two-theta):
2θ 18.06, 4.912 Å, I = 83, hkl 1 1 0
2θ 23.22, 3.831 Å, I = 100, hkl 2 0 -2
2θ 26.00, 3.427 Å, I = 46, hkl 1 1 -2
2θ 29.70, 3.008 Å, I = 43, hkl 2 0 1
2θ 31.80, 2.814 Å, I = 36, hkl 3 1 -1
2θ 31.92, 2.803 Å, I = 28, hkl 0 2 1
2θ 34.95, 2.567 Å, I = 65, hkl 2 2 -1
2θ 51.03, 1.790 Å, I = 34, hkl 4 2 -3

Structural model:
```
data_Cu2Se2NO10
_space_group_name_H-M_alt 'C 1 2/m 1'
_space_group_IT_number 12
_space_group_name_Hall '-C 2y'
_cell_length_a 9.603
_cell_length_b 6.087
_cell_length_c 8.318
_cell_angle_alpha 90.00
_cell_angle_beta 120.01
_cell_angle_gamma 90.00
loop_
_atom_site_label
_atom_site_type_symbol
_atom_site_fract_x
_atom_site_fract_y
_atom_site_fract_z
Cu1 Cu 0.250 0.250 0.000
Se1 Se 0.072 0.000 0.281
N1 N 0.000 0.500 0.500
O1 O 0.047 0.234 0.780
O2 O 0.171 0.000 0.163
O3 O 0.183 0.500 0.056
O4 O 0.185 0.000 0.506
```